Theoretical powder diffractogram of Ti6O for Cu Ka, from a crystal structure in the Materials Project, relaxed with PBE.
No peak broadening, texture or thermal motion is included.

Main lines, in order of rising 2θ (2θ = 10–90°):
2theta	I_rel	hkl
22.14	3	1 0 1
35.07	19	1 1 0
37.94	23	0 0 4
40.04	100	2 -1 2
52.62	17	1 1 4
62.92	17	3 0 0
69.94	15	2 -1 6
75.88	15	3 0 4
77.25	12	2 2 2
86.43	4	4 -2 4

Atomic structure:
abc: 5.117 5.117 9.487
angles: 90.00 90.00 120.00
Fractional coordinates of all 14 atoms:
Ti 0.004 0.336 0.381
Ti 0.004 0.668 0.119
Ti 0.332 0.336 0.119
Ti 0.332 0.996 0.381
Ti 0.336 0.004 0.881
Ti 0.336 0.332 0.619
Ti 0.664 0.668 0.381
Ti 0.664 0.996 0.119
Ti 0.668 0.004 0.619
Ti 0.668 0.664 0.881
Ti 0.996 0.332 0.881
Ti 0.996 0.664 0.619
O 0.333 0.667 0.250
O 0.667 0.333 0.750